1.
# Sm7Pd3
Calculated powder XRD pattern, λ = 1.5418 Å (Cu Kα). Input: a PBE-relaxed structure.
Lines closer than 0.1° are merged.

Structure:
a b c (Å): 10.071 10.071 6.364
angles (deg): 90.00 90.00 120.00
Fractional coordinates of all 20 atoms:
Sm 0.076 0.538 0.000
Sm 0.126 0.252 0.295
Sm 0.126 0.874 0.295
Sm 0.252 0.126 0.795
Sm 0.333 0.667 0.494
Sm 0.462 0.538 0.000
Sm 0.462 0.924 0.000
Sm 0.538 0.076 0.500
Sm 0.538 0.462 0.500
Sm 0.667 0.333 0.994
Sm 0.748 0.874 0.295
Sm 0.874 0.126 0.795
Sm 0.874 0.748 0.795
Sm 0.924 0.462 0.500
Pd 0.190 0.380 0.741
Pd 0.190 0.810 0.741
Pd 0.380 0.190 0.241
Pd 0.620 0.810 0.741
Pd 0.810 0.190 0.241
Pd 0.810 0.620 0.241

Most intense lines, 2θ from 15° to 90°, in order of falling intensity:
d (Å)	intensity
2.927	100
2.644	61
2.570	53
2.989	46
2.518	44
1.714	26


2.
# Sm2Pd
Calculated powder XRD pattern, λ = 1.5418 Å (Cu Kα). Input: a PBE-relaxed structure.
Lines closer than 0.1° are merged.

Structure:
a b c (Å): 6.082 6.082 6.082
angles (deg): 60.00 60.00 60.00
Fractional coordinates of all 6 atoms:
Sm 0.000 0.000 0.000
Sm 0.000 0.000 0.500
Sm 0.000 0.500 0.000
Sm 0.500 0.000 0.000
Pd 0.375 0.375 0.375
Pd 0.625 0.625 0.625

Most intense lines, 2θ from 15° to 90°, in order of falling intensity:
d (Å)	intensity
2.593	100
2.483	52
1.655	34
1.520	31
1.120	22
1.297	20